# 1
For Pm4Mg3Al, the PBE geometry in Alexandria gives the theoretical PXRD pattern in this record (Cu Kα (weighted mean of Kα1 and Kα2)).
Intensities are scaled so that the largest is 100.

Crystal structure
```
data_Pm4Mg3Al
_cell_length_a 5.3917
_cell_length_b 5.3917
_cell_length_c 26.4951
_cell_angle_alpha 90.00
_cell_angle_beta 90.00
_cell_angle_gamma 120.00
_symmetry_space_group_name_H-M 'R -3 m'
_symmetry_Int_Tables_number 166
_symmetry_space_group_name_Hall '-R 3 2"'
loop_
_atom_site_label
_atom_site_fract_x
_atom_site_fract_y
_atom_site_fract_z
Pm1 0.0000 0.0000 0.1218
Pm2 0.0000 0.0000 0.3720
Mg1 0.0000 0.0000 0.2474
Mg2 0.0000 0.0000 0.5000
Al1 0.0000 0.0000 0.0000
```

Principal peaks in the range 2θ = 15–90°, by angle:
two_theta  I (rel.)  (hkl)
23.31  59.6  1 0 4
33.20  100.0  1 1 0
40.99  13.8  0 2 4
47.66  17.9  2 0 8
53.71  24.6  2 1 4
59.20  8.7  1 0 16
59.35  28.0  3 0 0
74.64  9.3  1 3 4

***

# 2
For Pr4MgAl2, the PBE geometry in Alexandria gives the theoretical PXRD pattern in this record (Cu Kα (weighted mean of Kα1 and Kα2)).
Intensities are scaled so that the largest is 100.

Crystal structure
```
data_Pr4MgAl2
_cell_length_a 5.3202
_cell_length_b 5.3202
_cell_length_c 25.5288
_cell_angle_alpha 90.00
_cell_angle_beta 90.00
_cell_angle_gamma 120.00
_symmetry_space_group_name_H-M 'R -3 m'
_symmetry_Int_Tables_number 166
_symmetry_space_group_name_Hall '-R 3 2"'
loop_
_atom_site_label
_atom_site_fract_x
_atom_site_fract_y
_atom_site_fract_z
Pr1 0.0000 0.0000 0.1149
Pr2 0.0000 0.0000 0.3678
Mg1 0.0000 0.0000 0.5000
Al1 0.0000 0.0000 0.2427
```

Principal peaks in the range 2θ = 15–90°, by angle:
two_theta  I (rel.)  (hkl)
23.82  100.0  1 0 4
33.69  77.2  1 1 0
34.18  61.6  0 1 8
41.68  23.1  0 2 4
48.75  22.5  2 0 8
54.63  21.0  2 1 4
60.26  14.3  3 0 0
60.57  23.4  1 2 8